1.
The following is a calculated X-ray diffraction stick pattern of AcHf2BeN4. It was derived from a DFT-relaxed cell (GGA-PBE, Alexandria), using CuKα.
Neutral-atom scattering factors, no anomalous dispersion.

Main lines, low angle first (10 to 80 degrees two-theta):
- 29.5 deg, I = 100, hkl 0 2 3
- 32.4 deg, I = 31, hkl 0 4 0
- 32.8 deg, I = 60, hkl 1 1 2
- 33.0 deg, I = 13, hkl 0 0 4
- 36.5 deg, I = 11, hkl 1 3 0
- 37.5 deg, I = 34, hkl 1 3 1
- 40.2 deg, I = 27, hkl 1 3 2
- 51.0 deg, I = 24, hkl 1 1 5
- 52.6 deg, I = 18, hkl 1 5 2
- 55.7 deg, I = 11, hkl 2 0 0
- 56.5 deg, I = 20, hkl 1 3 5
- 64.3 deg, I = 17, hkl 2 2 3

Structure:
abc: 3.3011 11.0646 10.8671
angles: 90.00 90.00 90.00
Space group Cmcm (No. 63)
Symmetry-distinct sites (fractional):
Ac 0.0000 0.0987 0.2500 x4
Hf 0.0000 0.3677 0.0514 x8
Be 0.0000 0.1769 0.7500 x4
N 0.0000 0.0000 0.0000 x4
N 0.0000 0.2596 0.6156 x8
N 0.0000 0.4069 0.2500 x4

=====

2.
The following is a calculated X-ray diffraction stick pattern of AcBe2Hg2O6. It was derived from a DFT-relaxed cell (GGA-PBE, Alexandria), using CuKα.
Neutral-atom scattering factors, no anomalous dispersion.

Main lines, low angle first (10 to 80 degrees two-theta):
- 22.9 deg, I = 100, hkl 0 1 1
- 31.4 deg, I = 50, hkl 1 1 0
- 33.8 deg, I = 47, hkl 1 0 2
- 39.3 deg, I = 32, hkl 2 0 1
- 46.8 deg, I = 18, hkl 0 2 2
- 51.1 deg, I = 29, hkl 3 -2 1
- 54.3 deg, I = 16, hkl 2 -1 3
- 56.0 deg, I = 13, hkl 3 0 0
- 57.5 deg, I = 19, hkl 2 1 2
- 65.6 deg, I = 7, hkl 2 2 0
- 70.5 deg, I = 10, hkl 4 -1 1
- 75.9 deg, I = 10, hkl 4 -3 2

Structure:
abc: 5.6894 5.6894 6.2974
angles: 90.00 90.00 120.00
Space group P-3 (No. 147)
Symmetry-distinct sites (fractional):
Ac 0.0000 0.0000 0.0000 x1
Be 0.3333 0.6667 0.7596 x2
Hg 0.3333 0.6667 0.2904 x2
O 0.0701 0.3889 0.7671 x6

=====

3.
The following is a calculated X-ray diffraction stick pattern of Ac2BeIrO6. It was derived from a DFT-relaxed cell (GGA-PBE, Alexandria), using CuKα.
Neutral-atom scattering factors, no anomalous dispersion.

Main lines, low angle first (10 to 80 degrees two-theta):
- 22.3 deg, I = 15, hkl 1 0 4
- 24.2 deg, I = 38, hkl 0 1 5
- 28.6 deg, I = 44, hkl 1 0 7
- 31.1 deg, I = 67, hkl 0 1 8
- 32.4 deg, I = 100, hkl 1 1 0
- 40.8 deg, I = 20, hkl 2 0 5
- 43.7 deg, I = 26, hkl 0 2 7
- 45.5 deg, I = 28, hkl 2 0 8
- 55.4 deg, I = 15, hkl 2 1 7
- 56.9 deg, I = 25, hkl 1 2 8
- 57.7 deg, I = 20, hkl 3 0 0
- 67.7 deg, I = 24, hkl 2 2 0

Structure:
abc: 5.5320 5.5320 28.7935
angles: 90.00 90.00 120.00
Space group R-3m (No. 166, hexagonal axes)
Symmetry-distinct sites (fractional):
Ac 0.0000 0.0000 0.1285 x6
Ac 0.0000 0.0000 0.2753 x6
Be 0.0000 0.0000 0.3840 x6
Ir 0.0000 0.0000 0.0000 x3
Ir 0.0000 0.0000 0.5000 x3
O 0.0073 0.5037 0.2888 x18
O 0.0117 0.5058 0.8716 x18